# K2Na5Sn2
Calculated PXRD pattern, a wavelength of 1.5418 Å. Input: a PBE-relaxed structure.
Peak positions follow from Bragg's law for the DFT cell and can differ from measured ones.

Largest 12 diffraction maxima, sorted by position, 10 to 90 degrees two-theta:
d_spacing	I_rel
5.685	756
5.628	1000
4.861	513
4.452	398
3.517	568
3.349	352
3.015	513
2.948	440
2.877	457
2.843	377
2.820	350
2.790	428

Atomic structure:
Unit cell a=6.191 b=6.962 c=8.647 alpha=76.40 beta=89.19 gamma=65.92
Positions (direct):
K: 0.230 0.098 0.374
K: 0.770 0.902 0.626
Na: 0.000 0.500 0.000
Na: 0.292 0.863 0.960
Na: 0.367 0.465 0.663
Na: 0.633 0.535 0.337
Na: 0.708 0.137 0.040
Sn: 0.055 0.691 0.290
Sn: 0.945 0.309 0.710

=====

# K2Na5Sn4
Calculated PXRD pattern, a wavelength of 1.5418 Å. Input: a PBE-relaxed structure.
Peak positions follow from Bragg's law for the DFT cell and can differ from measured ones.

Largest 12 diffraction maxima, sorted by position, 10 to 90 degrees two-theta:
d_spacing	I_rel
6.149	190
5.579	1000
4.149	161
3.474	259
3.126	231
2.789	180
2.766	334
2.734	325
2.661	351
2.550	117
2.469	118
2.248	113

Atomic structure:
Unit cell a=8.309 b=8.309 c=9.483 alpha=116.09 beta=116.09 gamma=49.43
Positions (direct):
K: 0.247 0.247 0.122
K: 0.753 0.753 0.878
Na: 0.123 0.632 0.581
Na: 0.368 0.877 0.419
Na: 0.500 0.500 0.000
Na: 0.632 0.123 0.581
Na: 0.877 0.368 0.419
Sn: 0.074 0.074 0.680
Sn: 0.277 0.277 0.744
Sn: 0.723 0.723 0.256
Sn: 0.926 0.926 0.320

=====

# KNa2Sn
Calculated PXRD pattern, a wavelength of 1.5418 Å. Input: a PBE-relaxed structure.
Peak positions follow from Bragg's law for the DFT cell and can differ from measured ones.

Largest 12 diffraction maxima, sorted by position, 10 to 90 degrees two-theta:
d_spacing	I_rel
5.540	809
5.212	878
5.101	707
3.157	1000
3.083	371
3.066	711
2.958	674
2.903	444
2.770	486
2.726	950
2.648	412
2.586	439

Atomic structure:
Unit cell a=9.198 b=6.290 c=11.106 alpha=90.00 beta=123.06 gamma=90.00
Positions (direct):
K: 0.056 0.089 0.340
K: 0.056 0.411 0.840
K: 0.944 0.589 0.160
K: 0.944 0.911 0.660
Na: 0.378 0.107 0.708
Na: 0.378 0.393 0.208
Na: 0.402 0.745 0.435
Na: 0.402 0.755 0.935
Na: 0.598 0.245 0.065
Na: 0.598 0.255 0.565
Na: 0.622 0.607 0.792
Na: 0.622 0.893 0.292
Sn: 0.199 0.573 0.585
Sn: 0.199 0.927 0.085
Sn: 0.801 0.073 0.915
Sn: 0.801 0.427 0.415